Entry 1:
For RbSn3I12, the GGA-PBE geometry in Alexandria gives the theoretical PXRD pattern in this record (Cu Kα (weighted mean of Kα1 and Kα2)).
Intensities are scaled so that the largest is 100.

Main lines, in order of rising 2θ (10 to 80 degrees two-theta):
| 2θ/deg | I (rel.) |
| --- | --- |
| 15.12 | 61.6 |
| 16.66 | 43.0 |
| 22.96 | 61.0 |
| 25.31 | 46.6 |
| 26.03 | 100.0 |
| 30.72 | 27.8 |
| 32.08 | 26.8 |
| 36.80 | 31.8 |
| 41.34 | 31.6 |
| 41.61 | 28.8 |

```
data_RbSn3I12
_cell_length_a 14.651
_cell_length_b 14.651
_cell_length_c 9.771
_cell_angle_alpha 90.00
_cell_angle_beta 90.00
_cell_angle_gamma 120.00
_symmetry_space_group_name_H-M 'P 1'
_symmetry_Int_Tables_number 1
_symmetry_space_group_name_Hall 'P 1'
loop_
_atom_site_label
_atom_site_type_symbol
_atom_site_fract_x
_atom_site_fract_y
_atom_site_fract_z
Rb1 Rb 0.333 0.667 0.250
Rb2 Rb 0.667 0.333 0.750
Sn1 Sn 0.100 0.366 0.750
Sn2 Sn 0.265 0.900 0.750
Sn3 Sn 0.366 0.265 0.250
Sn4 Sn 0.634 0.735 0.750
Sn5 Sn 0.735 0.100 0.250
Sn6 Sn 0.900 0.634 0.250
I1 I 0.003 0.148 0.750
I2 I 0.026 0.540 0.250
I3 I 0.145 0.997 0.750
I4 I 0.148 0.145 0.250
I5 I 0.205 0.768 0.524
I6 I 0.205 0.768 0.976
I7 I 0.232 0.437 0.524
I8 I 0.232 0.437 0.976
I9 I 0.437 0.205 0.024
I10 I 0.437 0.205 0.476
I11 I 0.460 0.485 0.250
I12 I 0.485 0.026 0.750
I13 I 0.515 0.974 0.250
I14 I 0.540 0.515 0.750
I15 I 0.563 0.795 0.524
I16 I 0.563 0.795 0.976
I17 I 0.768 0.563 0.024
I18 I 0.768 0.563 0.476
I19 I 0.795 0.232 0.024
I20 I 0.795 0.232 0.476
I21 I 0.852 0.855 0.750
I22 I 0.855 0.003 0.250
I23 I 0.974 0.460 0.750
I24 I 0.997 0.852 0.250
```

=====

Entry 2:
For Dy10Y4Ho, the GGA-PBE geometry in Alexandria gives the theoretical PXRD pattern in this record (Cu Kα (weighted mean of Kα1 and Kα2)).
Intensities are scaled so that the largest is 100.

Main lines, in order of rising 2θ (10 to 80 degrees two-theta):
| 2θ/deg | I (rel.) |
| --- | --- |
| 20.00 | 14.8 |
| 23.13 | 30.9 |
| 32.94 | 100.0 |
| 38.84 | 7.9 |
| 40.64 | 9.7 |
| 47.28 | 18.2 |
| 53.27 | 13.4 |
| 58.82 | 37.9 |
| 69.09 | 11.7 |
| 78.69 | 16.2 |

```
data_Dy10Y4Ho
_cell_length_a 9.420
_cell_length_b 9.420
_cell_length_c 9.420
_cell_angle_alpha 99.59
_cell_angle_beta 99.59
_cell_angle_gamma 131.82
_symmetry_space_group_name_H-M 'P 1'
_symmetry_Int_Tables_number 1
_symmetry_space_group_name_Hall 'P 1'
loop_
_atom_site_label
_atom_site_type_symbol
_atom_site_fract_x
_atom_site_fract_y
_atom_site_fract_z
Dy1 Dy 0.050 0.150 0.702
Dy2 Dy 0.150 0.448 0.100
Dy3 Dy 0.250 0.750 0.500
Dy4 Dy 0.348 0.050 0.900
Dy5 Dy 0.448 0.348 0.298
Dy6 Dy 0.552 0.652 0.702
Dy7 Dy 0.652 0.950 0.100
Dy8 Dy 0.750 0.250 0.500
Dy9 Dy 0.850 0.552 0.900
Dy10 Dy 0.950 0.850 0.298
Y1 Y 0.201 0.601 0.801
Y2 Y 0.399 0.201 0.600
Y3 Y 0.601 0.799 0.400
Y4 Y 0.799 0.399 0.199
Ho1 Ho 0.000 0.000 0.000
```

=====

Entry 3:
For Tm6PdRu, the GGA-PBE geometry in Alexandria gives the theoretical PXRD pattern in this record (Cu Kα (weighted mean of Kα1 and Kα2)).
Intensities are scaled so that the largest is 100.

Main lines, in order of rising 2θ (10 to 80 degrees two-theta):
| 2θ/deg | I (rel.) |
| --- | --- |
| 28.40 | 68.5 |
| 29.73 | 59.9 |
| 33.12 | 59.9 |
| 33.98 | 100.0 |
| 47.06 | 20.0 |
| 48.18 | 75.0 |
| 56.67 | 19.0 |
| 58.75 | 22.6 |
| 58.97 | 17.2 |
| 61.75 | 17.1 |

```
data_Tm6PdRu
_cell_length_a 6.643
_cell_length_b 10.841
_cell_length_c 6.650
_cell_angle_alpha 90.00
_cell_angle_beta 108.95
_cell_angle_gamma 90.00
_symmetry_space_group_name_H-M 'P 1'
_symmetry_Int_Tables_number 1
_symmetry_space_group_name_Hall 'P 1'
loop_
_atom_site_label
_atom_site_type_symbol
_atom_site_fract_x
_atom_site_fract_y
_atom_site_fract_z
Tm1 Tm 0.239 0.177 0.242
Tm2 Tm 0.239 0.823 0.242
Tm3 Tm 0.250 0.000 0.758
Tm4 Tm 0.250 0.500 0.242
Tm5 Tm 0.261 0.323 0.758
Tm6 Tm 0.261 0.677 0.758
Tm7 Tm 0.739 0.323 0.242
Tm8 Tm 0.739 0.677 0.242
Tm9 Tm 0.750 0.000 0.242
Tm10 Tm 0.750 0.500 0.758
Tm11 Tm 0.761 0.177 0.758
Tm12 Tm 0.761 0.823 0.758
Pd1 Pd 0.000 0.500 0.500
Pd2 Pd 0.500 0.000 0.500
Ru1 Ru 0.000 0.000 0.000
Ru2 Ru 0.500 0.500 0.000
```

=====

Entry 4:
For PmMnNi3, the GGA-PBE geometry in Alexandria gives the theoretical PXRD pattern in this record (Cu Kα (weighted mean of Kα1 and Kα2)).
Intensities are scaled so that the largest is 100.

Main lines, in order of rising 2θ (10 to 80 degrees two-theta):
| 2θ/deg | I (rel.) |
| --- | --- |
| 30.59 | 34.1 |
| 33.24 | 29.7 |
| 35.46 | 9.9 |
| 37.82 | 29.2 |
| 39.32 | 100.0 |
| 49.40 | 32.1 |
| 50.62 | 20.1 |
| 63.50 | 23.2 |
| 63.67 | 16.0 |
| 76.50 | 9.4 |

```
data_PmMnNi3
_cell_length_a 5.846
_cell_length_b 5.846
_cell_length_c 5.390
_cell_angle_alpha 90.00
_cell_angle_beta 90.00
_cell_angle_gamma 120.00
_symmetry_space_group_name_H-M 'P 1'
_symmetry_Int_Tables_number 1
_symmetry_space_group_name_Hall 'P 1'
loop_
_atom_site_label
_atom_site_type_symbol
_atom_site_fract_x
_atom_site_fract_y
_atom_site_fract_z
Pm1 Pm 0.333 0.667 0.251
Pm2 Pm 0.667 0.333 0.749
Mn1 Mn 0.000 0.000 0.000
Mn2 Mn 0.000 0.000 0.500
Ni1 Ni 0.197 0.395 0.751
Ni2 Ni 0.197 0.803 0.751
Ni3 Ni 0.395 0.197 0.249
Ni4 Ni 0.605 0.803 0.751
Ni5 Ni 0.803 0.197 0.249
Ni6 Ni 0.803 0.605 0.249
```

=====

Entry 5:
For KSbF4, the GGA-PBE geometry in Alexandria gives the theoretical PXRD pattern in this record (Cu Kα (weighted mean of Kα1 and Kα2)).
Intensities are scaled so that the largest is 100.

Main lines, in order of rising 2θ (10 to 80 degrees two-theta):
| 2θ/deg | I (rel.) |
| --- | --- |
| 13.55 | 68.8 |
| 21.31 | 48.6 |
| 24.25 | 100.0 |
| 26.38 | 66.2 |
| 27.30 | 24.4 |
| 29.30 | 19.8 |
| 42.00 | 22.6 |
| 43.40 | 27.2 |
| 47.79 | 22.8 |
| 48.92 | 21.2 |

```
data_KSbF4
_cell_length_a 5.717
_cell_length_b 6.152
_cell_length_c 7.459
_cell_angle_alpha 107.11
_cell_angle_beta 112.47
_cell_angle_gamma 90.01
_symmetry_space_group_name_H-M 'P 1'
_symmetry_Int_Tables_number 1
_symmetry_space_group_name_Hall 'P 1'
loop_
_atom_site_label
_atom_site_type_symbol
_atom_site_fract_x
_atom_site_fract_y
_atom_site_fract_z
K1 K 0.242 0.250 0.499
K2 K 0.758 0.750 0.501
Sb1 Sb 0.000 0.500 0.000
Sb2 Sb 0.500 0.000 0.000
F1 F 0.014 0.534 0.296
F2 F 0.219 0.966 0.704
F3 F 0.250 0.840 0.118
F4 F 0.367 0.340 0.118
F5 F 0.633 0.660 0.882
F6 F 0.750 0.160 0.882
F7 F 0.781 0.034 0.296
F8 F 0.986 0.466 0.704
```

=====

Entry 6:
For NdDy7Mg2, the GGA-PBE geometry in Alexandria gives the theoretical PXRD pattern in this record (Cu Kα (weighted mean of Kα1 and Kα2)).
Intensities are scaled so that the largest is 100.

Main lines, in order of rising 2θ (10 to 80 degrees two-theta):
| 2θ/deg | I (rel.) |
| --- | --- |
| 11.51 | 47.2 |
| 19.88 | 29.2 |
| 26.31 | 56.6 |
| 27.65 | 67.2 |
| 30.12 | 76.5 |
| 33.44 | 58.1 |
| 33.97 | 100.0 |
| 35.51 | 89.4 |
| 45.62 | 49.1 |
| 63.25 | 37.4 |

```
data_NdDy7Mg2
_cell_length_a 9.188
_cell_length_b 9.188
_cell_length_c 5.359
_cell_angle_alpha 90.00
_cell_angle_beta 90.00
_cell_angle_gamma 123.20
_symmetry_space_group_name_H-M 'P 1'
_symmetry_Int_Tables_number 1
_symmetry_space_group_name_Hall 'P 1'
loop_
_atom_site_label
_atom_site_type_symbol
_atom_site_fract_x
_atom_site_fract_y
_atom_site_fract_z
Nd1 Nd 0.000 0.000 0.000
Dy1 Dy 0.068 0.297 0.500
Dy2 Dy 0.214 0.786 0.000
Dy3 Dy 0.297 0.068 0.500
Dy4 Dy 0.500 0.500 0.500
Dy5 Dy 0.703 0.932 0.500
Dy6 Dy 0.786 0.214 0.000
Dy7 Dy 0.932 0.703 0.500
Mg1 Mg 0.297 0.703 0.500
Mg2 Mg 0.703 0.297 0.500
```

=====

Entry 7:
For PaHg2Br4, the GGA-PBE geometry in Alexandria gives the theoretical PXRD pattern in this record (Cu Kα (weighted mean of Kα1 and Kα2)).
Intensities are scaled so that the largest is 100.

Main lines, in order of rising 2θ (10 to 80 degrees two-theta):
| 2θ/deg | I (rel.) |
| --- | --- |
| 15.70 | 18.5 |
| 16.80 | 42.1 |
| 25.30 | 36.8 |
| 27.94 | 23.3 |
| 28.17 | 100.0 |
| 28.52 | 31.4 |
| 37.00 | 23.7 |
| 44.14 | 18.1 |
| 46.14 | 19.0 |
| 48.16 | 19.0 |

```
data_PaHg2Br4
_cell_length_a 21.107
_cell_length_b 4.237
_cell_length_c 6.601
_cell_angle_alpha 90.00
_cell_angle_beta 91.07
_cell_angle_gamma 90.00
_symmetry_space_group_name_H-M 'P 1'
_symmetry_Int_Tables_number 1
_symmetry_space_group_name_Hall 'P 1'
loop_
_atom_site_label
_atom_site_type_symbol
_atom_site_fract_x
_atom_site_fract_y
_atom_site_fract_z
Pa1 Pa 0.000 0.000 0.000
Pa2 Pa 0.500 0.500 0.000
Hg1 Hg 0.239 0.000 0.271
Hg2 Hg 0.261 0.500 0.729
Hg3 Hg 0.739 0.500 0.271
Hg4 Hg 0.761 0.000 0.729
Br1 Br 0.059 0.500 0.234
Br2 Br 0.100 0.000 0.750
Br3 Br 0.400 0.500 0.250
Br4 Br 0.441 0.000 0.766
Br5 Br 0.559 0.000 0.234
Br6 Br 0.600 0.500 0.750
Br7 Br 0.900 0.000 0.250
Br8 Br 0.941 0.500 0.766
```

=====

Entry 8:
For RbNbPd2Br, the GGA-PBE geometry in Alexandria gives the theoretical PXRD pattern in this record (Cu Kα (weighted mean of Kα1 and Kα2)).
Intensities are scaled so that the largest is 100.

Main lines, in order of rising 2θ (10 to 80 degrees two-theta):
| 2θ/deg | I (rel.) |
| --- | --- |
| 10.55 | 100.0 |
| 21.19 | 37.9 |
| 22.97 | 17.3 |
| 26.80 | 41.2 |
| 28.88 | 26.8 |
| 32.01 | 25.8 |
| 39.84 | 77.0 |
| 41.33 | 21.2 |
| 45.55 | 29.2 |
| 51.99 | 38.3 |

```
data_RbNbPd2Br
_cell_length_a 4.525
_cell_length_b 4.525
_cell_length_c 25.162
_cell_angle_alpha 90.00
_cell_angle_beta 90.00
_cell_angle_gamma 120.00
_symmetry_space_group_name_H-M 'P 1'
_symmetry_Int_Tables_number 1
_symmetry_space_group_name_Hall 'P 1'
loop_
_atom_site_label
_atom_site_type_symbol
_atom_site_fract_x
_atom_site_fract_y
_atom_site_fract_z
Rb1 Rb 0.000 0.000 0.000
Rb2 Rb 0.333 0.667 0.667
Rb3 Rb 0.667 0.333 0.333
Nb1 Nb 0.000 0.000 0.144
Nb2 Nb 0.333 0.667 0.811
Nb3 Nb 0.667 0.333 0.477
Pd1 Pd 0.000 0.000 0.446
Pd2 Pd 0.000 0.000 0.780
Pd3 Pd 0.333 0.667 0.113
Pd4 Pd 0.333 0.667 0.446
Pd5 Pd 0.667 0.333 0.113
Pd6 Pd 0.667 0.333 0.780
Br1 Br 0.000 0.000 0.245
Br2 Br 0.333 0.667 0.912
Br3 Br 0.667 0.333 0.579
```